Structure and simulated PXRD pattern of MgHg12Pb3 (the GGA-PBE geometry in Alexandria; Cu Kα X-rays).
No peak broadening, texture or thermal motion is included.

Crystal structure
Cell: 3.3497 21.9828 5.8968 Å, 90.00 95.69 90.00°
Space group P2/m (No. 10)
Unique sites:
Mg 0.0000 0.0000 0.0000 (multiplicity 1)
Hg 0.0000 0.1278 0.5000 (multiplicity 2)
Hg 0.0000 0.3759 0.5000 (multiplicity 2)
Hg 0.5000 0.0000 0.5000 (multiplicity 1)
Hg 0.5000 0.1084 0.0000 (multiplicity 2)
Hg 0.5000 0.2517 0.5000 (multiplicity 2)
Hg 0.5000 0.3688 0.0000 (multiplicity 2)
Hg 0.5000 0.5000 0.5000 (multiplicity 1)
Pb 0.0000 0.2368 0.0000 (multiplicity 2)
Pb 0.0000 0.5000 0.0000 (multiplicity 1)

Main lines, sorted by position (2θ = 10–90°):
h k l  2θ (°)  intensity
0 0 2  30.47  68
0 8 0  32.59  48
1 4 -1  33.78  100
1 4 1  36.19  83
0 8 2  45.21  40
1 4 -3  54.61  26
2 0 0  55.10  16
1 12 -1  58.91  15
1 4 3  59.55  20
1 12 1  60.51  14
2 0 -2  61.18  12
2 8 0  65.50  13